Diffraction record for PmYPbO2. The powder XRD pattern is theoretical, not measured: it uses a cell relaxed with PBE and copper Kα.
Neutral-atom scattering factors, no anomalous dispersion.

Main lines, in order of rising 2θ (10 to 80 degrees two-theta):
2theta, d [Å], I_rel
23.58, 3.773, 8.9
29.49, 3.029, 100.0
32.38, 2.765, 33.5
37.57, 2.394, 11.2
46.44, 1.955, 16.5
50.42, 1.810, 25.6
55.98, 1.643, 33.3
61.20, 1.514, 11.2
62.89, 1.478, 11.6
67.78, 1.383, 5.2
75.60, 1.258, 6.9
77.13, 1.237, 5.9

Cell and atoms:
Cell lengths 7.696, 7.696, 7.696 Å; angles 150.56, 150.56, 42.11 degrees
Sites, in units of the cell vectors:
Pm1 0.000 0.000 0.000
Y1 0.340 0.340 0.000
Pb1 0.671 0.671 0.000
O1 0.416 0.916 0.500
O2 0.916 0.416 0.500

Diffraction record for KRb7Cd2. The powder XRD pattern is theoretical, not measured: it uses a cell relaxed with PBE and copper Kα.
Neutral-atom scattering factors, no anomalous dispersion.

Main lines, in order of rising 2θ (10 to 80 degrees two-theta):
2theta, d [Å], I_rel
13.69, 6.468, 19.6
15.71, 5.642, 22.8
19.13, 4.641, 22.1
21.94, 4.050, 17.9
25.15, 3.542, 100.0
27.02, 3.299, 74.6
29.07, 3.071, 46.7
34.98, 2.565, 14.4
38.60, 2.333, 34.3
46.62, 1.948, 36.1
49.03, 1.858, 21.4
55.73, 1.649, 17.4

Cell and atoms:
Cell lengths 16.973, 16.973, 16.973 Å; angles 157.58, 157.58, 31.91 degrees
Sites, in units of the cell vectors:
K1 0.000 0.000 0.000
Rb1 0.113 0.613 0.500
Rb2 0.250 0.750 0.500
Rb3 0.387 0.887 0.500
Rb4 0.500 0.500 0.000
Rb5 0.613 0.113 0.500
Rb6 0.750 0.250 0.500
Rb7 0.887 0.387 0.500
Cd1 0.322 0.322 0.000
Cd2 0.678 0.678 0.000

Diffraction record for La2Sc2Ag. The powder XRD pattern is theoretical, not measured: it uses a cell relaxed with PBE and copper Kα.
Neutral-atom scattering factors, no anomalous dispersion.

Main lines, in order of rising 2θ (10 to 80 degrees two-theta):
2theta, d [Å], I_rel
22.39, 3.971, 34.6
28.43, 3.139, 40.6
31.87, 2.808, 63.4
32.05, 2.792, 95.5
33.64, 2.664, 100.0
41.95, 2.154, 32.4
49.34, 1.847, 33.6
50.47, 1.808, 27.7
50.84, 1.796, 14.7
58.94, 1.567, 22.9
61.27, 1.513, 18.2
67.96, 1.379, 15.3

Cell and atoms:
Cell lengths 8.880, 8.880, 3.592 Å; angles 90.00, 90.00, 90.00 degrees
Sites, in units of the cell vectors:
La1 0.186 0.314 0.000
La2 0.314 0.814 0.000
La3 0.686 0.186 0.000
La4 0.814 0.686 0.000
Sc1 0.117 0.617 0.500
Sc2 0.383 0.117 0.500
Sc3 0.617 0.883 0.500
Sc4 0.883 0.383 0.500
Ag1 0.000 0.000 0.500
Ag2 0.500 0.500 0.500

Diffraction record for Y2Al9Co3. The powder XRD pattern is theoretical, not measured: it uses a cell relaxed with PBE and copper Kα.
Neutral-atom scattering factors, no anomalous dispersion.

Main lines, in order of rising 2θ (10 to 80 degrees two-theta):
2theta, d [Å], I_rel
25.97, 3.431, 36.4
30.69, 2.913, 28.5
30.91, 2.893, 55.1
37.67, 2.388, 41.8
37.85, 2.377, 85.3
38.41, 2.344, 21.2
38.62, 2.331, 50.0
41.77, 2.162, 17.9
42.11, 2.146, 100.0
42.60, 2.122, 47.4
53.41, 1.715, 20.6
58.46, 1.579, 35.0

Cell and atoms:
Cell lengths 7.379, 7.379, 9.326 Å; angles 90.00, 90.00, 60.73 degrees
Sites, in units of the cell vectors:
Y1 0.007 0.672 0.750
Y2 0.328 0.993 0.750
Y3 0.672 0.007 0.250
Y4 0.993 0.328 0.250
Al1 0.002 0.335 0.571
Al2 0.002 0.335 0.929
Al3 0.125 0.875 0.250
Al4 0.332 0.668 0.542
Al5 0.332 0.668 0.958
Al6 0.335 0.002 0.071
Al7 0.335 0.002 0.429
Al8 0.339 0.447 0.250
Al9 0.447 0.339 0.750
Al10 0.553 0.661 0.250
Al11 0.661 0.553 0.750
Al12 0.665 0.998 0.571
Al13 0.665 0.998 0.929
Al14 0.668 0.332 0.042
Al15 0.668 0.332 0.458
Al16 0.875 0.125 0.750
Al17 0.998 0.665 0.071
Al18 0.998 0.665 0.429
Co1 0.000 0.000 0.000
Co2 0.000 0.000 0.500
Co3 0.329 0.329 0.000
Co4 0.329 0.329 0.500
Co5 0.671 0.671 0.000
Co6 0.671 0.671 0.500

Diffraction record for K2CdGaBi2. The powder XRD pattern is theoretical, not measured: it uses a cell relaxed with PBE and copper Kα.
Neutral-atom scattering factors, no anomalous dispersion.

Main lines, in order of rising 2θ (10 to 80 degrees two-theta):
2theta, d [Å], I_rel
10.90, 8.121, 69.6
20.57, 4.318, 97.9
24.69, 3.605, 29.0
28.09, 3.176, 38.7
33.23, 2.696, 100.0
35.20, 2.549, 58.7
41.12, 2.195, 35.2
41.73, 2.165, 28.4
45.63, 1.988, 20.3
48.25, 1.886, 21.6
50.64, 1.803, 20.5
61.12, 1.516, 21.0

Cell and atoms:
Cell lengths 9.588, 9.588, 9.588 Å; angles 135.80, 64.25, 135.85 degrees
Sites, in units of the cell vectors:
K1 0.164 0.248 0.411
K2 0.336 0.748 0.084
K3 0.664 0.252 0.916
K4 0.836 0.752 0.589
Cd1 0.250 0.250 0.000
Cd2 0.750 0.750 0.000
Ga1 0.250 0.750 0.500
Ga2 0.750 0.250 0.500
Bi1 0.102 0.741 0.843
Bi2 0.398 0.241 0.638
Bi3 0.602 0.759 0.362
Bi4 0.898 0.259 0.157